The following is a computed powder X-ray diffraction pattern of MgCo4Sb2O12. It was derived from a PBE+U-relaxed structure, using λ = 1.5418 Å (Cu Kα).
No peak broadening, texture or thermal motion is included.

Cell and atoms:
abc: 5.288 5.288 10.439
angles: 90.28 90.28 121.22
Fractional positions:
1 Mg 0.000 0.000 0.000
2 Co 0.037 0.701 0.759
3 Co 0.192 0.526 0.280
4 Co 0.526 0.192 0.280
5 Co 0.701 0.037 0.759
6 Sb 0.364 0.364 0.771
7 Sb 0.862 0.862 0.296
8 O 0.027 0.327 0.878
9 O 0.030 0.030 0.671
10 O 0.156 0.156 0.170
11 O 0.215 0.885 0.378
12 O 0.327 0.027 0.878
13 O 0.355 0.686 0.677
14 O 0.502 0.502 0.369
15 O 0.523 0.858 0.192
16 O 0.686 0.355 0.677
17 O 0.702 0.702 0.873
18 O 0.858 0.523 0.192
19 O 0.885 0.215 0.378

Most intense lines, 10° ≤ 2θ ≤ 90°, most intense first:
16.99 deg, I = 100; 35.02 deg, I = 39; 42.86 deg, I = 18; 43.08 deg, I = 15; 56.29 deg, I = 9; 38.91 deg, I = 9; 38.59 deg, I = 9; 34.56 deg, I = 8; 62.31 deg, I = 8; 62.14 deg, I = 7

The following is a computed powder X-ray diffraction pattern of Sr2TiMnO6. It was derived from a PBE+U-relaxed structure, using λ = 1.5418 Å (Cu Kα).
No peak broadening, texture or thermal motion is included.

Cell and atoms:
abc: 5.500 5.500 3.915
angles: 90.00 90.00 90.00
Fractional positions:
1 Sr 0.000 0.500 0.000
2 Sr 0.500 0.000 0.000
3 Ti 0.000 0.000 0.500
4 Mn 0.500 0.500 0.500
5 O 0.000 0.000 0.000
6 O 0.253 0.253 0.500
7 O 0.253 0.747 0.500
8 O 0.500 0.500 0.000
9 O 0.747 0.253 0.500
10 O 0.747 0.747 0.500

Most intense lines, 10° ≤ 2θ ≤ 90°, most intense first:
32.45 deg, I = 100; 32.56 deg, I = 50; 46.71 deg, I = 40; 58.03 deg, I = 37; 40.07 deg, I = 27; 67.95 deg, I = 23; 46.39 deg, I = 20; 57.82 deg, I = 19; 77.60 deg, I = 16; 86.50 deg, I = 11

The following is a computed powder X-ray diffraction pattern of CdFe2O4. It was derived from a PBE+U-relaxed structure, using λ = 1.5418 Å (Cu Kα).
No peak broadening, texture or thermal motion is included.

Cell and atoms:
abc: 2.988 9.311 10.716
angles: 90.00 90.00 90.00
Fractional positions:
1 Cd 0.000 0.004 0.000
2 Cd 0.000 0.508 0.188
3 Cd 0.500 0.492 0.688
4 Cd 0.500 0.996 0.500
5 Fe 0.000 0.164 0.742
6 Fe 0.000 0.188 0.228
7 Fe 0.000 0.666 0.447
8 Fe 0.000 0.682 0.957
9 Fe 0.500 0.318 0.457
10 Fe 0.500 0.334 0.947
11 Fe 0.500 0.812 0.728
12 Fe 0.500 0.836 0.242
13 O 0.000 0.165 0.415
14 O 0.000 0.282 0.055
15 O 0.000 0.365 0.831
16 O 0.000 0.468 0.502
17 O 0.000 0.661 0.772
18 O 0.000 0.763 0.130
19 O 0.000 0.858 0.378
20 O 0.000 0.959 0.681
21 O 0.500 0.041 0.181
22 O 0.500 0.142 0.878
23 O 0.500 0.237 0.630
24 O 0.500 0.339 0.272
25 O 0.500 0.532 0.002
26 O 0.500 0.635 0.331
27 O 0.500 0.718 0.555
28 O 0.500 0.835 0.915

Most intense lines, 10° ≤ 2θ ≤ 90°, most intense first:
33.39 deg, I = 100; 40.53 deg, I = 40; 35.72 deg, I = 33; 19.10 deg, I = 20; 72.39 deg, I = 19; 31.07 deg, I = 19; 49.70 deg, I = 19; 49.43 deg, I = 18; 50.42 deg, I = 16; 42.85 deg, I = 16

The following is a computed powder X-ray diffraction pattern of NaLaZrFeO6. It was derived from a PBE+U-relaxed structure, using λ = 1.5418 Å (Cu Kα).
No peak broadening, texture or thermal motion is included.

Cell and atoms:
abc: 5.665 5.665 5.665
angles: 60.00 60.00 60.00
Fractional positions:
1 Na 0.000 0.000 0.000
2 La 0.500 0.500 0.500
3 Zr 0.750 0.750 0.750
4 Fe 0.250 0.250 0.250
5 O 0.008 0.008 0.492
6 O 0.008 0.492 0.008
7 O 0.008 0.492 0.492
8 O 0.492 0.008 0.008
9 O 0.492 0.008 0.492
10 O 0.492 0.492 0.008

Most intense lines, 10° ≤ 2θ ≤ 90°, most intense first:
31.59 deg, I = 100; 19.19 deg, I = 39; 56.25 deg, I = 39; 45.28 deg, I = 38; 37.22 deg, I = 23; 65.96 deg, I = 22; 74.98 deg, I = 16; 49.60 deg, I = 10; 60.00 deg, I = 8; 69.40 deg, I = 7

The following is a computed powder X-ray diffraction pattern of MnCoO4. It was derived from a PBE+U-relaxed structure, using λ = 1.5418 Å (Cu Kα).
No peak broadening, texture or thermal motion is included.

Cell and atoms:
abc: 5.734 5.734 5.734
angles: 120.93 118.43 90.57
Fractional positions:
1 Mn 0.000 0.000 0.000
2 Mn 0.500 0.000 0.500
3 Co 0.500 0.000 0.000
4 Co 0.500 0.500 0.500
5 O 0.266 0.240 0.474
6 O 0.266 0.792 0.026
7 O 0.274 0.239 0.035
8 O 0.296 0.761 0.535
9 O 0.704 0.239 0.465
10 O 0.726 0.761 0.965
11 O 0.734 0.208 0.974
12 O 0.734 0.760 0.526

Most intense lines, 10° ≤ 2θ ≤ 90°, most intense first:
18.69 deg, I = 100; 19.17 deg, I = 73; 44.50 deg, I = 56; 37.01 deg, I = 31; 65.09 deg, I = 29; 44.93 deg, I = 27; 36.24 deg, I = 19; 59.40 deg, I = 12; 36.75 deg, I = 11; 58.50 deg, I = 10

The following is a computed powder X-ray diffraction pattern of Na2MgMn4O8. It was derived from a PBE+U-relaxed structure, using λ = 1.5418 Å (Cu Kα).
No peak broadening, texture or thermal motion is included.

Cell and atoms:
abc: 3.245 5.405 10.249
angles: 89.91 89.85 77.70
Fractional positions:
1 Na 0.000 0.000 0.000
2 Na 0.074 0.639 0.497
3 Mg 0.866 0.160 0.497
4 Mn 0.395 0.064 0.717
5 Mn 0.397 0.067 0.279
6 Mn 0.770 0.518 0.163
7 Mn 0.773 0.516 0.831
8 O 0.401 0.279 0.130
9 O 0.403 0.277 0.864
10 O 0.440 0.962 0.494
11 O 0.651 0.672 0.997
12 O 0.897 0.336 0.336
13 O 0.901 0.333 0.658
14 O 0.926 0.830 0.752
15 O 0.926 0.832 0.239

Most intense lines, 10° ≤ 2θ ≤ 90°, most intense first:
31.18 deg, I = 100; 17.31 deg, I = 96; 39.08 deg, I = 84; 18.90 deg, I = 78; 36.02 deg, I = 69; 34.50 deg, I = 64; 29.62 deg, I = 63; 40.22 deg, I = 61; 40.50 deg, I = 53; 37.10 deg, I = 53

The following is a computed powder X-ray diffraction pattern of MgCr4W2O12. It was derived from a PBE+U-relaxed structure, using λ = 1.5418 Å (Cu Kα).
No peak broadening, texture or thermal motion is included.

Cell and atoms:
abc: 4.772 4.772 9.251
angles: 90.00 90.00 90.00
Fractional positions:
1 Mg 0.000 0.000 0.000
2 Cr 0.000 0.500 0.585
3 Cr 0.000 0.500 0.908
4 Cr 0.500 0.000 0.092
5 Cr 0.500 0.000 0.415
6 W 0.000 0.500 0.259
7 W 0.500 0.000 0.741
8 O 0.194 0.308 0.418
9 O 0.198 0.306 0.082
10 O 0.200 0.291 0.754
11 O 0.291 0.800 0.246
12 O 0.306 0.802 0.918
13 O 0.308 0.806 0.582
14 O 0.692 0.194 0.582
15 O 0.694 0.198 0.918
16 O 0.709 0.200 0.246
17 O 0.800 0.709 0.754
18 O 0.802 0.694 0.082
19 O 0.806 0.692 0.418

Most intense lines, 10° ≤ 2θ ≤ 90°, most intense first:
26.41 deg, I = 100; 34.63 deg, I = 76; 52.12 deg, I = 68; 20.95 deg, I = 64; 32.85 deg, I = 28; 37.70 deg, I = 24; 43.52 deg, I = 21; 66.09 deg, I = 21; 54.38 deg, I = 20; 19.19 deg, I = 17

The following is a computed powder X-ray diffraction pattern of MgMn6O7F5. It was derived from a PBE+U-relaxed structure, using λ = 1.5418 Å (Cu Kα).
No peak broadening, texture or thermal motion is included.

Cell and atoms:
abc: 5.709 5.805 7.855
angles: 111.11 92.32 111.15
Fractional positions:
1 Mg 0.000 0.000 0.000
2 Mn 0.114 0.540 0.160
3 Mn 0.228 0.024 0.635
4 Mn 0.411 0.476 0.481
5 Mn 0.495 0.986 0.969
6 Mn 0.778 0.138 0.387
7 Mn 0.869 0.447 0.787
8 O 0.048 0.255 0.604
9 O 0.069 0.277 0.269
10 O 0.156 0.725 0.989
11 O 0.399 0.825 0.694
12 O 0.551 0.176 0.235
13 O 0.564 0.260 0.593
14 O 0.829 0.248 0.961
15 F 0.014 0.793 0.363
16 F 0.298 0.235 0.941
17 F 0.478 0.727 0.318
18 F 0.678 0.717 0.973
19 F 0.916 0.781 0.706

Most intense lines, 10° ≤ 2θ ≤ 90°, most intense first:
27.47 deg, I = 100; 24.83 deg, I = 82; 34.17 deg, I = 52; 32.91 deg, I = 50; 34.45 deg, I = 49; 53.20 deg, I = 31; 19.09 deg, I = 27; 48.40 deg, I = 26; 58.19 deg, I = 24; 33.88 deg, I = 23